Starting from a DFT-relaxed cell (GGA-PBE, Alexandria), the X-ray powder pattern of Nd2Pa4Ru9 was calculated for λ = 1.5418 Å (Cu Kα).
Peak positions follow from Bragg's law for the DFT cell and can differ from measured ones.

Top 10 peaks for 10° ≤ 2θ ≤ 90°, by intensity:
- 2θ = 40.22°, I 100.0, hkl 1 1 0
- 2θ = 38.45°, I 72.3, hkl 1 0 6
- 2θ = 27.54°, I 52.2, hkl 1 0 3
- 2θ = 56.86°, I 23.1, hkl 0 2 6
- 2θ = 71.93°, I 22.8, hkl 2 1 6
- 2θ = 20.17°, I 22.0, hkl 0 0 4
- 2θ = 51.28°, I 21.5, hkl 1 1 6
- 2θ = 73.11°, I 17.2, hkl 3 0 0
- 2θ = 45.40°, I 16.4, hkl 1 1 4
- 2θ = 34.38°, I 15.6, hkl 0 1 5

Crystal structure
a b c (Å): 4.484 4.484 17.609
angles (deg): 90.00 90.00 120.00
Sites, in units of the cell vectors:
Nd: 0.333 0.667 0.255
Nd: 0.667 0.333 0.745
Pa: 0.333 0.667 0.599
Pa: 0.333 0.667 0.904
Pa: 0.667 0.333 0.096
Pa: 0.667 0.333 0.401
Ru: 0.000 0.000 0.000
Ru: 0.000 0.000 0.157
Ru: 0.000 0.000 0.349
Ru: 0.000 0.000 0.651
Ru: 0.000 0.000 0.843
Ru: 0.333 0.667 0.079
Ru: 0.333 0.667 0.432
Ru: 0.667 0.333 0.568
Ru: 0.667 0.333 0.921